Starting from a cell relaxed with GGA-PBE, the X-ray diffraction stick pattern of Mg2NCl was simulated for λ = 1.5418 Å (Cu Kα).
Peak positions follow from Bragg's law for the DFT cell and can differ from measured ones.

Cell and atoms:
Cell: 3.3213 3.3213 18.0089 Å, 90.00 90.00 120.00°
Fractional coordinates of all 12 atoms:
Mg  0.0000  0.0000  0.2228
Mg  0.0000  0.0000  0.7772
Mg  0.3333  0.6667  0.4439
Mg  0.3333  0.6667  0.8895
Mg  0.6667  0.3333  0.1105
Mg  0.6667  0.3333  0.5561
N  0.0000  0.0000  0.5000
N  0.3333  0.6667  0.1667
N  0.6667  0.3333  0.8333
Cl  0.0000  0.0000  0.0000
Cl  0.3333  0.6667  0.6667
Cl  0.6667  0.3333  0.3333

The 10 most intense peaks (2θ = 15–90°), low angle first:
two_theta	I_rel
31.5	19
37.1	100
40.1	38
45.3	13
51.6	15
55.3	35
60.7	7
68.5	13
74.2	17
82.1	7

***

Starting from a cell relaxed with GGA-PBE, the X-ray diffraction stick pattern of Na2MgCl4 was simulated for λ = 1.5418 Å (Cu Kα).
Peak positions follow from Bragg's law for the DFT cell and can differ from measured ones.

Cell and atoms:
Cell: 6.9819 12.0017 3.8490 Å, 90.00 90.00 90.00°
Fractional coordinates of all 14 atoms:
Na  0.0873  0.1820  0.0000
Na  0.4127  0.6820  0.0000
Na  0.5873  0.3180  0.0000
Na  0.9127  0.8180  0.0000
Mg  0.0000  0.5000  0.5000
Mg  0.5000  0.0000  0.5000
Cl  0.1189  0.6954  0.5000
Cl  0.2353  0.4571  0.0000
Cl  0.2647  0.9571  0.0000
Cl  0.3811  0.1954  0.5000
Cl  0.6189  0.8046  0.5000
Cl  0.7353  0.0429  0.0000
Cl  0.7647  0.5429  0.0000
Cl  0.8811  0.3046  0.5000

The 10 most intense peaks (2θ = 15–90°), low angle first:
two_theta	I_rel
27.5	82
30.4	31
32.5	99
34.8	36
35.5	100
37.9	63
41.6	37
46.4	59
47.2	40
58.5	32

***

Starting from a cell relaxed with GGA-PBE, the X-ray diffraction stick pattern of Na6MgCl8 was simulated for λ = 1.5418 Å (Cu Kα).
Peak positions follow from Bragg's law for the DFT cell and can differ from measured ones.

Cell and atoms:
Cell: 8.0215 8.0215 8.0215 Å, 60.00 60.00 60.00°
Fractional coordinates of all 15 atoms:
Na  0.0000  0.0000  0.5000
Na  0.0000  0.5000  0.0000
Na  0.0000  0.5000  0.5000
Na  0.5000  0.0000  0.0000
Na  0.5000  0.0000  0.5000
Na  0.5000  0.5000  0.0000
Mg  0.0000  0.0000  0.0000
Cl  0.2250  0.2250  0.7750
Cl  0.2250  0.7750  0.2250
Cl  0.2250  0.7750  0.7750
Cl  0.2500  0.2500  0.2500
Cl  0.7500  0.7500  0.7500
Cl  0.7750  0.2250  0.2250
Cl  0.7750  0.2250  0.7750
Cl  0.7750  0.7750  0.2250

The 10 most intense peaks (2θ = 15–90°), low angle first:
two_theta	I_rel
27.2	12
31.5	100
41.4	10
45.2	62
56.2	19
58.1	5
65.9	8
74.9	20
83.5	14
89.3	6

***

Starting from a cell relaxed with GGA-PBE, the X-ray diffraction stick pattern of MgNb2Te4Cl10O was simulated for λ = 1.5418 Å (Cu Kα).
Peak positions follow from Bragg's law for the DFT cell and can differ from measured ones.

Cell and atoms:
Cell: 7.1228 8.9289 9.3701 Å, 82.72 89.98 75.75°
Fractional coordinates of all 18 atoms:
Mg  0.0000  0.0000  0.0000
Nb  0.3027  0.0264  0.6270
Nb  0.3157  0.3163  0.8926
Te  0.0304  0.5618  0.4130
Te  0.6245  0.7360  0.1116
Te  0.7394  0.4579  0.2908
Te  0.8628  0.8598  0.2776
Cl  0.0033  0.4575  0.8376
Cl  0.1434  0.8556  0.8218
Cl  0.1997  0.1392  0.0968
Cl  0.2615  0.8386  0.4676
Cl  0.3610  0.4600  0.0859
Cl  0.4278  0.1786  0.4523
Cl  0.4702  0.4517  0.7254
Cl  0.6007  0.8535  0.7036
Cl  0.6669  0.1305  0.9931
Cl  0.9728  0.1709  0.5639
O  0.3146  0.1532  0.7776

The 10 most intense peaks (2θ = 15–90°), low angle first:
two_theta	I_rel
15.8	100
19.9	36
20.5	31
22.7	35
25.3	26
29.9	35
30.4	37
33.8	21
34.3	22
46.0	32

***

Starting from a cell relaxed with GGA-PBE, the X-ray diffraction stick pattern of MgNb2Te4Cl10O was simulated for λ = 1.5418 Å (Cu Kα).
Peak positions follow from Bragg's law for the DFT cell and can differ from measured ones.

Cell and atoms:
Cell: 7.1587 9.1012 9.1645 Å, 81.96 87.04 77.22°
Fractional coordinates of all 18 atoms:
Mg  0.0000  0.0000  0.0000
Nb  0.8772  0.9998  0.4024
Nb  0.8954  0.2888  0.6630
Te  0.2113  0.7094  0.8497
Te  0.2628  0.4531  0.0565
Te  0.4904  0.8093  0.9914
Te  0.5547  0.5434  0.1834
Cl  0.0507  0.1427  0.1902
Cl  0.0947  0.4062  0.5011
Cl  0.1830  0.8441  0.4446
Cl  0.1862  0.1043  0.7890
Cl  0.5892  0.1576  0.2987
Cl  0.5964  0.4272  0.5937
Cl  0.7168  0.8405  0.5562
Cl  0.7237  0.1330  0.8634
Cl  0.8635  0.8326  0.1842
Cl  0.9222  0.4552  0.8465
O  0.8970  0.1347  0.5336

The 10 most intense peaks (2θ = 15–90°), low angle first:
two_theta	I_rel
16.2	100
17.8	45
19.9	67
20.8	57
25.8	42
31.1	53
31.4	41
33.3	46
38.7	30
39.6	46

***

Starting from a cell relaxed with GGA-PBE, the X-ray diffraction stick pattern of MgNb2Te4Cl10O was simulated for λ = 1.5418 Å (Cu Kα).
Peak positions follow from Bragg's law for the DFT cell and can differ from measured ones.

Cell and atoms:
Cell: 7.1578 9.0458 9.6753 Å, 97.19 90.77 103.97°
Fractional coordinates of all 18 atoms:
Mg  0.0000  0.0000  0.0000
Nb  0.8577  0.9200  0.6885
Nb  0.9076  0.6419  0.9586
Te  0.2948  0.2699  0.1544
Te  0.3385  0.5200  0.3759
Te  0.4894  0.1228  0.3163
Te  0.5844  0.3890  0.5071
Cl  0.0644  0.5087  0.7994
Cl  0.1789  0.0817  0.7865
Cl  0.2269  0.8328  0.0393
Cl  0.5361  0.7762  0.6355
Cl  0.5962  0.5015  0.8972
Cl  0.7437  0.0856  0.8920
Cl  0.7929  0.8248  0.1426
Cl  0.8403  0.1140  0.5461
Cl  0.9478  0.4988  0.1435
Cl  0.9937  0.7721  0.5235
O  0.8877  0.7985  0.8409

The 10 most intense peaks (2θ = 15–90°), low angle first:
two_theta	I_rel
15.4	100
18.2	31
19.5	38
22.4	17
25.7	22
29.5	24
29.7	48
32.2	17
33.5	19
39.1	24

***

Starting from a cell relaxed with GGA-PBE, the X-ray diffraction stick pattern of MgNb2Te4Cl10O was simulated for λ = 1.5418 Å (Cu Kα).
Peak positions follow from Bragg's law for the DFT cell and can differ from measured ones.

Cell and atoms:
Cell: 7.1799 8.4879 9.5247 Å, 82.46 88.97 75.18°
Fractional coordinates of all 18 atoms:
Mg  0.0000  0.0000  0.0000
Nb  0.0652  0.1930  0.5616
Nb  0.0946  0.4765  0.8355
Te  0.4401  0.9007  0.0261
Te  0.4750  0.6325  0.2329
Te  0.6610  0.0332  0.1984
Te  0.7528  0.7311  0.3723
Cl  0.0246  0.0016  0.4007
Cl  0.0914  0.6903  0.0266
Cl  0.1878  0.3512  0.3841
Cl  0.2300  0.6441  0.6772
Cl  0.3651  0.0180  0.6358
Cl  0.4024  0.3322  0.9393
Cl  0.7388  0.3533  0.5087
Cl  0.7736  0.6221  0.7999
Cl  0.9039  0.0320  0.7555
Cl  0.9697  0.2883  0.0322
O  0.0858  0.3325  0.7062

The 10 most intense peaks (2θ = 15–90°), low angle first:
two_theta	I_rel
15.3	25
15.7	100
18.8	30
20.3	41
20.5	28
22.6	28
22.8	25
25.5	24
31.1	57
40.5	29

***

Starting from a cell relaxed with GGA-PBE, the X-ray diffraction stick pattern of MgNb2Te4Cl10O was simulated for λ = 1.5418 Å (Cu Kα).
Peak positions follow from Bragg's law for the DFT cell and can differ from measured ones.

Cell and atoms:
Cell: 6.9306 9.1037 9.8127 Å, 80.76 87.71 73.53°
Fractional coordinates of all 18 atoms:
Mg  0.0000  0.0000  0.0000
Nb  0.5887  0.6244  0.6987
Nb  0.6105  0.8877  0.9704
Te  0.0292  0.0714  0.3786
Te  0.1968  0.4499  0.3337
Te  0.3110  0.1667  0.5036
Te  0.9096  0.3572  0.2110
Cl  0.2581  0.8039  0.6330
Cl  0.2803  0.0925  0.9300
Cl  0.4311  0.4922  0.8735
Cl  0.4670  0.7709  0.1670
Cl  0.5632  0.4592  0.5399
Cl  0.7070  0.0777  0.1400
Cl  0.7251  0.7830  0.5304
Cl  0.7741  0.0621  0.8064
Cl  0.9101  0.4743  0.7743
Cl  0.9637  0.7385  0.0470
O  0.5953  0.7711  0.8403

The 10 most intense peaks (2θ = 15–90°), low angle first:
two_theta	I_rel
16.1	100
19.6	50
20.4	28
21.8	21
22.7	25
25.3	35
29.4	22
30.2	39
31.1	22
32.7	21